Diffraction record for Y2V3O9. The powder diffraction line list is simulated, not measured: it uses a PBE+U-relaxed structure and a wavelength of 1.5418 Å.
Neutral-atom scattering factors, no anomalous dispersion.

Atomic structure:
```
data_Y2V3O9
_chemical_formula_sum 'Y8 V12 O36'
_cell_length_a 5.2850
_cell_length_b 7.6335
_cell_length_c 16.3720
_cell_angle_alpha 90.00
_cell_angle_beta 90.00
_cell_angle_gamma 90.00
_space_group_name_H-M_alt 'P 21 21 21'
_space_group_IT_number 19
loop_
_space_group_symop_operation_xyz
'x,y,z'
'-x+1/2,-y,z+1/2'
'x+1/2,-y+1/2,-z'
'-x,y+1/2,-z+1/2'
loop_
_atom_site_label
_atom_site_type_symbol
_atom_site_fract_x
_atom_site_fract_y
_atom_site_fract_z
_atom_site_occupancy
Y1 Y 0.0086 0.0006 0.2337 1
Y2 Y 0.0169 0.0019 0.5619 1
V1 V 0.0035 0.2517 0.7507 1
V2 V 0.0051 0.2533 0.0826 1
V3 V 0.0140 0.2402 0.4147 1
O1 O 0.0621 0.4989 0.0812 1
O2 O 0.0769 0.4980 0.7412 1
O3 O 0.1070 0.5026 0.4035 1
O4 O 0.1899 0.7809 0.3131 1
O5 O 0.1913 0.2188 0.3111 1
O6 O 0.2068 0.8154 0.6540 1
O7 O 0.2110 0.2083 0.9936 1
O8 O 0.2161 0.1857 0.6524 1
O9 O 0.2306 0.7777 0.9884 1
```

Peak list (10 most intense, 2θ = 5–70°, by intensity)
index  2theta  d/Å  I_rel
1 2 3  33.29  2.692  100.0
2 0 6  47.92  1.898  32.3
0 1 2  15.87  5.583  32.2
1 1 1  21.15  4.200  29.4
3 2 3  60.30  1.535  23.8
2 0 0  33.92  2.642  23.5
0 0 6  32.82  2.729  22.4
0 4 0  47.65  1.908  20.6
2 4 6  69.89  1.346  14.6
1 0 1  17.63  5.029  12.9

=====

Diffraction record for MgTiCo3O8. The powder diffraction line list is simulated, not measured: it uses a PBE+U-relaxed structure and a wavelength of 1.5418 Å.
Neutral-atom scattering factors, no anomalous dispersion.

Atomic structure:
```
data_MgTiCo3O8
_chemical_formula_sum 'Mg1 Ti1 Co3 O8'
_cell_length_a 5.6636
_cell_length_b 5.8153
_cell_length_c 5.9287
_cell_angle_alpha 119.08
_cell_angle_beta 90.40
_cell_angle_gamma 118.55
_space_group_name_H-M_alt 'P -1'
_space_group_IT_number 2
loop_
_space_group_symop_operation_xyz
'x,y,z'
'-x,-y,-z'
loop_
_atom_site_label
_atom_site_type_symbol
_atom_site_fract_x
_atom_site_fract_y
_atom_site_fract_z
_atom_site_occupancy
Mg1 Mg 0.0000 0.0000 0.0000 1
Ti1 Ti 0.5000 0.0000 0.5000 1
Co1 Co 0.0000 0.0000 0.5000 1
Co2 Co 0.0000 0.5000 0.5000 1
Co3 Co 0.5000 0.5000 0.5000 1
O1 O 0.2400 0.0006 0.7198 1
O2 O 0.2410 0.4775 0.6919 1
O3 O 0.2598 0.5174 0.2869 1
O4 O 0.2728 0.0465 0.2875 1
```

Peak list (10 most intense, 2θ = 5–70°, by intensity)
index  2theta  d/Å  I_rel
0 0 1  18.02  4.923  100.0
0 2 0  42.63  2.121  24.4
2 0 -2  44.08  2.055  21.7
2 -2 2  44.41  2.040  20.9
0 2 -1  35.55  2.525  13.0
2 0 -1  36.69  2.449  10.6
2 -2 1  37.03  2.428  9.2
2 2 -2  63.47  1.466  6.3
-2 2 2  62.51  1.486  6.0
2 -4 2  64.12  1.452  6.0

=====

Diffraction record for Li2VF6. The powder diffraction line list is simulated, not measured: it uses a PBE+U-relaxed structure and a wavelength of 1.5418 Å.
Neutral-atom scattering factors, no anomalous dispersion.

Atomic structure:
```
data_Li2VF6
_chemical_formula_sum 'Li4 V2 F12'
_cell_length_a 4.6844
_cell_length_b 4.6844
_cell_length_c 9.1524
_cell_angle_alpha 90.00
_cell_angle_beta 90.00
_cell_angle_gamma 90.00
_space_group_name_H-M_alt 'P 42/m n m'
_space_group_IT_number 136
_space_group_name_Hall '-P 4n 2n'
loop_
_atom_site_label
_atom_site_type_symbol
_atom_site_fract_x
_atom_site_fract_y
_atom_site_fract_z
_atom_site_occupancy
Li1 Li 0.0000 0.0000 0.1662 1
V1 V 0.0000 0.0000 0.5000 1
F1 F 0.1934 0.1934 0.3456 1
F2 F 0.2213 0.2213 0.0000 1
```

Peak list (10 most intense, 2θ = 5–70°, by intensity)
index  2theta  d/Å  I_rel
1 0 1  21.31  4.170  100.0
1 1 3  40.19  2.244  65.8
1 1 0  26.92  3.312  48.6
2 1 3  53.03  1.727  36.9
0 0 2  19.40  4.576  34.7
3 0 3  67.37  1.390  21.0
2 2 0  55.48  1.656  19.4
1 1 2  33.39  2.683  19.4
2 1 0  43.18  2.095  17.6
2 1 1  44.36  2.042  14.2

=====

Diffraction record for LiV6O7F5. The powder diffraction line list is simulated, not measured: it uses a PBE+U-relaxed structure and a wavelength of 1.5418 Å.
Neutral-atom scattering factors, no anomalous dispersion.

Atomic structure:
```
data_LiV6O7F5
_chemical_formula_sum 'Li1 V6 O7 F5'
_cell_length_a 5.7033
_cell_length_b 5.7289
_cell_length_c 7.7123
_cell_angle_alpha 69.55
_cell_angle_beta 69.94
_cell_angle_gamma 70.24
_space_group_name_H-M_alt 'P 1'
_space_group_IT_number 1
loop_
_space_group_symop_operation_xyz
'x,y,z'
loop_
_atom_site_label
_atom_site_type_symbol
_atom_site_fract_x
_atom_site_fract_y
_atom_site_fract_z
_atom_site_occupancy
Li1 Li 0.0000 0.0000 0.0000 1
V1 V 0.0881 0.5712 0.8933 1
V2 V 0.0989 0.6074 0.4241 1
V3 V 0.4343 0.9129 0.0866 1
V4 V 0.4429 0.8859 0.5778 1
V5 V 0.7153 0.2391 0.7259 1
V6 V 0.7482 0.2624 0.2704 1
O1 O 0.0565 0.9679 0.2341 1
O2 O 0.1933 0.6896 0.6140 1
O3 O 0.3663 0.2674 0.9131 1
O4 O 0.4529 0.5586 0.2515 1
O5 O 0.6414 0.1327 0.5450 1
O6 O 0.7371 0.5943 0.5769 1
O7 O 0.7945 0.8918 0.9153 1
F1 F 0.1243 0.2061 0.5836 1
F2 F 0.3219 0.8033 0.8815 1
F3 F 0.5296 0.0199 0.2813 1
F4 F 0.8365 0.3496 0.9531 1
F5 F 0.9903 0.4967 0.2046 1
```

Peak list (10 most intense, 2θ = 5–70°, by intensity)
index  2theta  d/Å  I_rel
1 1 2  25.26  3.525  100.0
1 -1 0  27.12  3.288  97.7
0 1 -2  34.46  2.603  50.1
2 1 0  34.57  2.595  47.7
1 0 4  50.75  1.799  30.7
1 -2 2  52.86  1.732  27.4
0 2 -1  40.05  2.251  22.6
2 2 -2  59.89  1.544  19.0
2 2 4  51.86  1.763  18.3
2 -2 0  55.92  1.644  18.3

=====

Diffraction record for Li5Mn3O8. The powder diffraction line list is simulated, not measured: it uses a PBE+U-relaxed structure and a wavelength of 1.5418 Å.
Neutral-atom scattering factors, no anomalous dispersion.

Atomic structure:
```
data_Li5Mn3O8
_chemical_formula_sum 'Li10 Mn6 O16'
_cell_length_a 10.2583
_cell_length_b 5.7508
_cell_length_c 5.1656
_cell_angle_alpha 90.00
_cell_angle_beta 111.25
_cell_angle_gamma 90.00
_space_group_name_H-M_alt 'C 1 2/m 1'
_space_group_IT_number 12
loop_
_space_group_symop_operation_xyz
'x,y,z'
'-x,-y,-z'
'-x,y,-z'
'x,-y,z'
'x+1/2,y+1/2,z'
'-x+1/2,-y+1/2,-z'
'-x+1/2,y+1/2,-z'
'x+1/2,-y+1/2,z'
loop_
_atom_site_label
_atom_site_type_symbol
_atom_site_fract_x
_atom_site_fract_y
_atom_site_fract_z
_atom_site_occupancy
Li1 Li 0.0000 0.0000 0.0000 1
Li2 Li 0.2472 0.0000 0.4926 1
Li3 Li 0.2500 0.2500 0.0000 1
Mn1 Mn 0.0000 0.2471 0.5000 1
Mn2 Mn 0.0000 0.5000 0.0000 1
O1 O 0.1071 0.2597 0.2577 1
O2 O 0.1154 0.0000 0.7187 1
O3 O 0.1191 0.5000 0.7229 1
```

Peak list (10 most intense, 2θ = 5–70°, by intensity)
index  2theta  d/Å  I_rel
2 0 0  18.56  4.780  100.0
2 2 1  44.32  2.044  61.6
4 0 -2  42.56  2.124  33.9
0 2 1  36.40  2.468  27.1
1 1 0  18.00  4.928  18.4
2 2 -3  62.94  1.477  17.3
6 2 -1  63.31  1.469  16.4
0 0 1  18.43  4.814  15.0
2 0 -2  35.14  2.554  13.9
1 1 -1  23.29  3.819  11.4

=====

Diffraction record for RbV2PO11. The powder diffraction line list is simulated, not measured: it uses a PBE+U-relaxed structure and a wavelength of 1.5418 Å.
Neutral-atom scattering factors, no anomalous dispersion.

Atomic structure:
```
data_RbV2PO11
_chemical_formula_sum 'Rb4 V8 P4 O44'
_cell_length_a 7.1005
_cell_length_b 10.8042
_cell_length_c 12.5869
_cell_angle_alpha 90.00
_cell_angle_beta 90.00
_cell_angle_gamma 90.00
_space_group_name_H-M_alt 'P 21 21 21'
_space_group_IT_number 19
loop_
_space_group_symop_operation_xyz
'x,y,z'
'-x+1/2,-y,z+1/2'
'x+1/2,-y+1/2,-z'
'-x,y+1/2,-z+1/2'
loop_
_atom_site_label
_atom_site_type_symbol
_atom_site_fract_x
_atom_site_fract_y
_atom_site_fract_z
_atom_site_occupancy
Rb1 Rb 0.2324 0.2368 0.2928 1
V1 V 0.0195 0.7746 0.4959 1
V2 V 0.2187 0.4968 0.5899 1
P1 P 0.2398 0.5809 0.3536 1
O1 O 0.0510 0.6086 0.5871 1
O2 O 0.0538 0.4031 0.0760 1
O3 O 0.0685 0.6701 0.3697 1
O4 O 0.0740 0.3434 0.8680 1
O5 O 0.1353 0.3252 0.5935 1
O6 O 0.1774 0.6902 0.0826 1
O7 O 0.2287 0.5198 0.2441 1
O8 O 0.2299 0.4730 0.4342 1
O9 O 0.2431 0.0623 0.6175 1
O10 O 0.2492 0.1990 0.0180 1
O11 O 0.2485 0.9277 0.2150 1
```

Peak list (10 most intense, 2θ = 5–70°, by intensity)
index  2theta  d/Å  I_rel
1 1 0  14.93  5.934  100.0
1 3 1  28.68  3.112  72.6
0 1 1  10.79  8.198  70.2
2 0 0  25.08  3.550  69.4
1 1 3  26.02  3.425  42.3
2 1 1  27.38  3.258  40.9
0 1 3  22.74  3.911  38.9
1 0 4  31.09  2.877  33.9
2 0 2  28.87  3.092  28.8
3 3 1  46.46  1.954  28.2